LiNi14Mo: simulated X-ray diffraction stick pattern (CuKα), based on a DFT-relaxed cell (GGA-PBE, Alexandria).

Peak list (10 most intense, 2θ = 10–90°, low angle first)
two_theta	I_rel
17.7	4
21.7	6
30.8	2
42.2	3
44.2	100
47.9	1
51.4	16
51.5	31
75.8	18
75.9	9

Structural model:
Unit cell a=5.0156 b=5.0156 c=7.1135 alpha=90.00 beta=90.00 gamma=90.00
Element x y z (fractional)
Li (0.0000, 0.0000, 0.0000)
Ni (0.0000, 0.0000, 0.5000)
Ni (0.0000, 0.5000, 0.0000)
Ni (0.0000, 0.5000, 0.5000)
Ni (0.2495, 0.2495, 0.2543)
Ni (0.2495, 0.2495, 0.7457)
Ni (0.2495, 0.7505, 0.2543)
Ni (0.2495, 0.7505, 0.7457)
Ni (0.5000, 0.0000, 0.0000)
Ni (0.5000, 0.0000, 0.5000)
Ni (0.5000, 0.5000, 0.5000)
Ni (0.7505, 0.2495, 0.2543)
Ni (0.7505, 0.2495, 0.7457)
Ni (0.7505, 0.7505, 0.2543)
Ni (0.7505, 0.7505, 0.7457)
Mo (0.5000, 0.5000, 0.0000)


In4I2BrF: simulated X-ray diffraction stick pattern (CuKα), based on a DFT-relaxed cell (GGA-PBE, Alexandria).

Peak list (10 most intense, 2θ = 10–90°, low angle first)
two_theta	I_rel
22.3	19
26.8	100
29.1	22
35.7	7
37.2	17
38.3	29
39.4	14
46.5	8
55.3	10
61.0	7

Structural model:
Unit cell a=9.3980 b=9.3980 c=9.3980 alpha=121.70 beta=118.11 gamma=90.20
Element x y z (fractional)
In (0.1942, 0.1835, 0.0106)
In (0.2564, 0.2486, 0.4921)
In (0.2564, 0.7643, 0.0079)
In (0.3271, 0.8165, 0.5106)
In (0.6729, 0.1835, 0.4894)
In (0.7436, 0.2357, 0.9921)
In (0.7436, 0.7514, 0.5079)
In (0.8058, 0.8165, 0.9894)
I (0.0000, 0.0000, 0.5000)
I (0.0000, 0.5000, 0.0000)
I (0.0000, 0.5000, 0.5000)
I (0.5000, 0.5000, 0.0000)
Br (0.5000, 0.0000, 0.0000)
Br (0.5000, 0.5000, 0.5000)
F (0.0000, 0.0000, 0.0000)
F (0.5000, 0.0000, 0.5000)


Ho4Tl2Bi: simulated X-ray diffraction stick pattern (CuKα), based on a DFT-relaxed cell (GGA-PBE, Alexandria).

Peak list (10 most intense, 2θ = 10–90°, low angle first)
two_theta	I_rel
27.1	34
30.6	100
31.4	26
32.1	53
33.0	77
33.5	33
34.0	42
34.2	76
37.5	25
44.4	25

Structural model:
Unit cell a=5.8465 b=6.5879 c=10.7830 alpha=90.00 beta=103.21 gamma=90.00
Element x y z (fractional)
Ho (0.0613, 0.2500, 0.1436)
Ho (0.1920, 0.7500, 0.4454)
Ho (0.3844, 0.0066, 0.7338)
Ho (0.3844, 0.4934, 0.7338)
Ho (0.6156, 0.5066, 0.2662)
Ho (0.6156, 0.9934, 0.2662)
Ho (0.8080, 0.2500, 0.5546)
Ho (0.9387, 0.7500, 0.8564)
Tl (0.2534, 0.2500, 0.4422)
Tl (0.4956, 0.7500, 0.9944)
Tl (0.5044, 0.2500, 0.0056)
Tl (0.7466, 0.7500, 0.5578)
Bi (0.0678, 0.7500, 0.1592)
Bi (0.9322, 0.2500, 0.8408)


Li5Cd6: simulated X-ray diffraction stick pattern (CuKα), based on a DFT-relaxed cell (GGA-PBE, Alexandria).

Peak list (10 most intense, 2θ = 10–90°, low angle first)
two_theta	I_rel
27.1	100
27.2	49
38.7	84
38.9	42
47.8	10
48.0	17
55.9	12
63.2	13
63.4	13
70.3	11

Structural model:
Unit cell a=8.0495 b=8.0495 c=4.6541 alpha=106.64 beta=106.64 gamma=120.35
Element x y z (fractional)
Li (0.0000, 0.0000, 0.0000)
Li (0.1678, 0.8322, 0.5000)
Li (0.3144, 0.6856, 0.0000)
Li (0.6856, 0.3144, 0.0000)
Li (0.8322, 0.1678, 0.5000)
Cd (0.1176, 0.4189, 0.2685)
Cd (0.2694, 0.2694, 0.7675)
Cd (0.4189, 0.1176, 0.2685)
Cd (0.5811, 0.8824, 0.7315)
Cd (0.7306, 0.7306, 0.2325)
Cd (0.8824, 0.5811, 0.7315)


BaNp2Pd2S6: simulated X-ray diffraction stick pattern (CuKα), based on a DFT-relaxed cell (GGA-PBE, Alexandria).

Peak list (10 most intense, 2θ = 10–90°, low angle first)
two_theta	I_rel
14.0	50
15.6	82
16.5	48
24.6	47
25.4	71
27.0	64
30.7	100
31.0	78
31.5	39
35.2	75

Structural model:
Unit cell a=6.4300 b=7.2341 c=7.2572 alpha=101.28 beta=108.80 gamma=115.81
Element x y z (fractional)
Ba (0.0000, 0.0000, 0.0000)
Np (0.3440, 0.3253, 0.6717)
Np (0.6560, 0.6747, 0.3283)
Pd (0.2173, 0.7293, 0.6401)
Pd (0.7827, 0.2707, 0.3599)
S (0.1541, 0.9121, 0.4044)
S (0.2138, 0.4508, 0.3571)
S (0.4431, 0.6932, 0.9536)
S (0.5569, 0.3068, 0.0464)
S (0.7862, 0.5492, 0.6429)
S (0.8459, 0.0879, 0.5956)


Tb4TmMg7: simulated X-ray diffraction stick pattern (CuKα), based on a DFT-relaxed cell (GGA-PBE, Alexandria).

Peak list (10 most intense, 2θ = 10–90°, low angle first)
two_theta	I_rel
20.5	84
28.1	52
33.4	97
33.9	100
39.9	15
48.3	35
59.4	17
60.2	16
60.3	35
60.6	18

Structural model:
Unit cell a=5.2933 b=5.2933 c=13.2272 alpha=90.00 beta=90.00 gamma=120.00
Element x y z (fractional)
Tb (0.3333, 0.6667, 0.1596)
Tb (0.3333, 0.6667, 0.4197)
Tb (0.6667, 0.3333, 0.5803)
Tb (0.6667, 0.3333, 0.8404)
Tm (0.0000, 0.0000, 0.0000)
Mg (0.0000, 0.0000, 0.2605)
Mg (0.0000, 0.0000, 0.5000)
Mg (0.0000, 0.0000, 0.7395)
Mg (0.3333, 0.6667, 0.6826)
Mg (0.3333, 0.6667, 0.9171)
Mg (0.6667, 0.3333, 0.0829)
Mg (0.6667, 0.3333, 0.3174)


K3NiH4: simulated X-ray diffraction stick pattern (CuKα), based on a DFT-relaxed cell (GGA-PBE, Alexandria).

Peak list (10 most intense, 2θ = 10–90°, low angle first)
two_theta	I_rel
29.9	100
30.2	25
32.4	21
40.7	11
44.9	15
51.5	9
53.0	9
53.5	17
56.3	13
62.2	10

Structural model:
Unit cell a=6.0034 b=6.0034 c=6.0034 alpha=120.94 beta=84.76 gamma=125.26
Element x y z (fractional)
K (0.0000, 0.0000, 0.0000)
K (0.2643, 0.5189, 0.7454)
K (0.7735, 0.5189, 0.2546)
Ni (0.4882, 0.9882, 0.5000)
H (0.3549, 0.0317, 0.3232)
H (0.4199, 0.1773, 0.7574)
H (0.4199, 0.6624, 0.2426)
H (0.7086, 0.0317, 0.6768)